For ZnP2C4NO8, a DFT-relaxed cell (GGA-PBE, the Materials Project) gives the simulated X-ray powder pattern in this record (Cu Kα).
Neutral-atom scattering factors, no anomalous dispersion.

Largest 10 diffraction maxima, in order of falling intensity, 10 to 90 degrees two-theta:
2θ 12.09, I 100, hkl 1 1 1; 2θ 21.52, I 57, hkl 2 2 0; 2θ 25.65, I 42, hkl 1 3 3; 2θ 20.01, I 23, hkl 1 3 1; 2θ 31.35, I 22, hkl 2 4 2; 2θ 15.88, I 19, hkl 0 2 2; 2θ 30.31, I 14, hkl 1 5 1; 2θ 32.08, I 11, hkl 0 4 4; 2θ 33.02, I 8, hkl 3 3 1; 2θ 43.62, I 8, hkl 3 3 5

Cell: 9.694 15.779 15.787 Å, 90.00 90.00 90.00°
Space group Fdd2 (No. 43)
Inequivalent atoms, fractional coordinates:
Zn (0.000, 0.000, 0.000) [8 per cell]
P (0.027, 0.131, 0.154) [16 per cell]
C (0.058, 0.459, 0.125) [16 per cell]
C (0.070, 0.492, 0.210) [16 per cell]
N (0.000, 0.000, 0.558) [8 per cell]
O (0.040, 0.072, 0.234) [16 per cell]
O (0.080, 0.088, 0.072) [16 per cell]
O (0.108, 0.212, 0.171) [16 per cell]
O (0.119, 0.108, 0.405) [16 per cell]

For ZnP3C4NO12, a DFT-relaxed cell (GGA-PBE, the Materials Project) gives the simulated X-ray powder pattern in this record (Cu Kα).
Neutral-atom scattering factors, no anomalous dispersion.

Largest 10 diffraction maxima, in order of falling intensity, 10 to 90 degrees two-theta:
2θ 10.51, I 100, hkl 0 1 1; 2θ 20.07, I 66, hkl 2 1 0; 2θ 26.65, I 62, hkl 1 2 -1; 2θ 24.75, I 54, hkl -1 2 2; 2θ 23.52, I 41, hkl 1 0 2; 2θ 20.99, I 39, hkl 0 2 0; 2θ 13.45, I 33, hkl 1 1 1; 2θ 12.44, I 27, hkl 1 1 0; 2θ 22.09, I 25, hkl 1 2 2; 2θ 21.16, I 20, hkl 0 2 2

Cell: 9.165 9.852 10.042 Å, 62.86 89.92 76.52°
Space group P-1 (No. 2)
Inequivalent atoms, fractional coordinates:
Zn (0.109, 0.072, 0.276) [2 per cell]
P (0.132, 0.782, 0.021) [2 per cell]
P (0.168, 0.761, 0.604) [2 per cell]
P (0.331, 0.280, 0.075) [2 per cell]
C (0.287, 0.227, 0.679) [2 per cell]
C (0.335, 0.379, 0.511) [2 per cell]
C (0.404, 0.171, 0.555) [2 per cell]
C (0.441, 0.249, 0.644) [2 per cell]
N (0.244, 0.269, 0.521) [2 per cell]
O (0.008, 0.792, 0.646) [2 per cell]
O (0.016, 0.912, 0.890) [2 per cell]
O (0.061, 0.658, 0.140) [2 per cell]
O (0.172, 0.856, 0.434) [2 per cell]
O (0.194, 0.388, 0.954) [2 per cell]
O (0.210, 0.845, 0.108) [2 per cell]
O (0.239, 0.582, 0.657) [2 per cell]
O (0.260, 0.694, 0.965) [2 per cell]
O (0.284, 0.797, 0.690) [2 per cell]
O (0.292, 0.139, 0.207) [2 per cell]
O (0.387, 0.379, 0.137) [2 per cell]
O (0.462, 0.220, 0.002) [2 per cell]

For Zn4P3C3N3O13, a DFT-relaxed cell (GGA-PBE, the Materials Project) gives the simulated X-ray powder pattern in this record (Cu Kα).
Neutral-atom scattering factors, no anomalous dispersion.

Largest 10 diffraction maxima, in order of falling intensity, 10 to 90 degrees two-theta:
2θ 11.46, I 100, hkl 0 2 0; 2θ 27.80, I 16, hkl 1 2 -2; 2θ 24.04, I 12, hkl 1 3 1; 2θ 20.24, I 12, hkl 1 2 1; 2θ 19.58, I 10, hkl 1 2 -1; 2θ 35.28, I 8, hkl 0 1 3; 2θ 28.75, I 7, hkl 2 2 1; 2θ 28.10, I 7, hkl 1 4 -1; 2θ 34.46, I 6, hkl 1 4 -2; 2θ 34.05, I 6, hkl 2 2 -2

Cell: 7.739 15.409 7.749 Å, 90.00 92.83 90.00°
Space group P2_1 (No. 4)
Inequivalent atoms, fractional coordinates:
Zn (0.083, 0.000, 0.285) [2 per cell]
Zn (0.127, 0.857, 0.604) [2 per cell]
Zn (0.197, 0.335, 0.694) [2 per cell]
Zn (0.197, 0.495, 0.406) [2 per cell]
P (0.003, 0.169, 0.514) [2 per cell]
P (0.080, 0.411, 0.056) [2 per cell]
P (0.456, 0.933, 0.413) [2 per cell]
C (0.224, 0.709, 0.051) [2 per cell]
C (0.365, 0.046, 0.867) [2 per cell]
C (0.425, 0.222, 0.283) [2 per cell]
N (0.079, 0.688, 0.025) [2 per cell]
N (0.411, 0.978, 0.921) [2 per cell]
N (0.483, 0.195, 0.415) [2 per cell]
O (0.021, 0.491, 0.949) [2 per cell]
O (0.046, 0.421, 0.555) [2 per cell]
O (0.069, 0.121, 0.354) [2 per cell]
O (0.074, 0.603, 0.362) [2 per cell]
O (0.077, 0.878, 0.845) [2 per cell]
O (0.139, 0.734, 0.551) [2 per cell]
O (0.140, 0.338, 0.936) [2 per cell]
O (0.154, 0.217, 0.608) [2 per cell]
O (0.228, 0.436, 0.187) [2 per cell]
O (0.323, 0.965, 0.272) [2 per cell]
O (0.359, 0.902, 0.572) [2 per cell]
O (0.420, 0.507, 0.531) [2 per cell]
O (0.442, 0.355, 0.657) [2 per cell]